(1)
NaAlCl4: simulated X-ray powder pattern (Cu Kα (λ = 1.5418 Å)), based on a DFT-relaxed cell (GGA-PBE, Alexandria).
Peak positions follow from Bragg's law for the DFT cell and can differ from measured ones.

Most intense lines, 2θ = 15–90°, most intense first:
two_theta	Rel. int.
29.3	100
16.1	81
27.2	77
28.2	75
23.3	67
18.2	53
26.4	53
40.3	40

Structural model:
```
24
Lattice="6.321 0.000 0.000 0.000 10.633 0.000 0.000 0.000 11.029" Properties=species:S:1:pos:R:3 pbc="T T T"
Na 0.848 0.270 4.011
Na 2.313 10.362 9.525
Na 4.008 5.046 7.018
Na 5.473 5.587 1.503
Al 0.618 2.502 7.865
Al 2.542 8.131 2.350
Al 3.779 2.814 3.164
Al 5.703 7.818 8.678
Cl 1.278 4.310 6.884
Cl 1.352 0.721 6.848
Cl 1.393 2.362 9.871
Cl 1.539 7.825 8.679
Cl 1.621 2.807 3.165
Cl 1.768 8.271 4.357
Cl 1.808 9.912 1.334
Cl 1.883 6.323 1.369
Cl 4.438 1.006 4.145
Cl 4.512 4.595 4.180
Cl 4.553 2.955 1.158
Cl 4.700 8.124 2.350
Cl 4.781 2.509 7.864
Cl 4.928 7.678 6.672
Cl 4.969 6.037 9.695
Cl 5.043 9.626 9.660
```

(2)
Ba14Pd6Rh3: simulated X-ray powder pattern (Cu Kα (λ = 1.5418 Å)), based on a DFT-relaxed cell (GGA-PBE, Alexandria).
Peak positions follow from Bragg's law for the DFT cell and can differ from measured ones.

Most intense lines, 2θ = 15–90°, most intense first:
two_theta	Rel. int.
26.9	100
29.2	76
32.0	73
39.0	47
29.9	46
24.4	38
44.4	37
48.9	28

Structural model:
```
23
Lattice="11.174 0.000 0.000 -5.587 9.677 0.000 0.000 0.000 7.894" Properties=species:S:1:pos:R:3 pbc="T T T"
Ba 0.000 0.000 0.000
Ba -2.125 5.228 5.742
Ba -0.002 3.934 1.984
Ba -2.179 7.712 1.984
Ba 2.132 1.233 4.515
Ba 3.473 1.999 0.524
Ba 2.121 5.222 5.742
Ba 0.003 8.902 5.742
Ba 2.181 7.708 1.984
Ba 5.587 3.226 3.872
Ba 5.581 5.669 0.524
Ba 7.706 2.009 0.524
Ba 9.040 1.230 4.515
Ba 5.589 7.214 4.515
Pd -0.012 2.856 6.644
Pd -3.107 8.259 6.644
Pd 3.090 4.661 2.662
Pd 5.592 0.346 2.662
Pd 3.119 8.238 6.644
Pd 8.078 4.670 2.662
Rh 0.000 0.000 2.887
Rh 0.000 6.451 3.786
Rh 5.587 3.226 6.778
```

(3)
TaNb3V8: simulated X-ray powder pattern (Cu Kα (λ = 1.5418 Å)), based on a DFT-relaxed cell (GGA-PBE, Alexandria).
Peak positions follow from Bragg's law for the DFT cell and can differ from measured ones.

Most intense lines, 2θ = 15–90°, most intense first:
two_theta	Rel. int.
41.9	100
39.0	93
35.2	62
42.5	59
65.7	37
72.1	26
67.8	23
74.5	22

Structural model:
```
12
Lattice="5.094 0.000 0.000 -2.547 4.411 0.000 0.000 0.000 8.134" Properties=species:S:1:pos:R:3 pbc="T T T"
Ta 0.000 0.000 0.000
Nb 0.000 0.000 3.050
Nb 2.547 1.470 4.061
Nb 2.547 1.470 7.131
V 0.000 1.445 5.598
V -1.296 3.689 5.598
V 0.000 2.941 3.558
V 0.000 2.941 7.626
V 2.547 0.024 1.521
V 1.294 2.194 1.521
V 1.296 3.689 5.598
V 3.799 2.194 1.521
```

(4)
Ce4HoAs6: simulated X-ray powder pattern (Cu Kα (λ = 1.5418 Å)), based on a DFT-relaxed cell (GGA-PBE, Alexandria).
Peak positions follow from Bragg's law for the DFT cell and can differ from measured ones.

Most intense lines, 2θ = 15–90°, most intense first:
two_theta	Rel. int.
34.4	100
36.4	91
26.9	86
33.0	80
30.6	73
47.1	49
71.3	36
41.6	34

Structural model:
```
22
Lattice="5.744 3.316 4.824 -5.744 3.316 4.824 0.000 -6.633 4.824" Properties=species:S:1:pos:R:3 pbc="T T T"
Ce -3.549 0.486 6.030
Ce 0.000 0.000 3.618
Ce -2.196 -2.830 8.442
Ce 1.353 -3.316 6.030
Ce -1.353 3.316 8.442
Ce 2.196 2.830 6.030
Ce 0.000 0.000 10.854
Ce 3.549 -0.486 8.442
Ho 0.000 0.000 0.000
Ho 0.000 0.000 7.236
As -4.882 -1.236 8.006
As -1.371 -4.846 6.466
As -1.371 -1.787 5.594
As -3.511 3.610 6.466
As -0.863 2.081 5.594
As -2.233 0.293 8.878
As 2.233 -0.293 5.594
As 0.863 -2.081 8.878
As 3.511 -3.610 8.006
As 1.371 1.787 8.878
As 1.371 4.846 8.006
As 4.882 1.236 6.466
```

(5)
Pt2Rh4W3: simulated X-ray powder pattern (Cu Kα (λ = 1.5418 Å)), based on a DFT-relaxed cell (GGA-PBE, Alexandria).
Peak positions follow from Bragg's law for the DFT cell and can differ from measured ones.

Most intense lines, 2θ = 15–90°, most intense first:
two_theta	Rel. int.
41.5	100
43.1	74
35.5	61
39.5	51
48.6	43
49.1	30
83.4	27
69.5	19

Structural model:
```
9
Lattice="3.713 -6.848 0.000 3.713 6.848 0.000 0.000 0.000 2.740" Properties=species:S:1:pos:R:3 pbc="T T T"
Pt 1.342 0.000 0.000
Pt 6.084 0.000 0.000
Rh 2.343 2.188 1.370
Rh 2.343 -2.188 1.370
Rh 5.083 2.188 1.370
Rh 5.083 -2.188 1.370
W 3.713 4.240 0.000
W 3.713 0.000 1.370
W 3.713 -4.240 0.000
```

(6)
Sr2Bi2Pb: simulated X-ray powder pattern (Cu Kα (λ = 1.5418 Å)), based on a DFT-relaxed cell (GGA-PBE, Alexandria).
Peak positions follow from Bragg's law for the DFT cell and can differ from measured ones.

Most intense lines, 2θ = 15–90°, most intense first:
two_theta	Rel. int.
32.3	100
33.9	93
19.5	72
30.3	67
31.1	62
31.2	60
29.0	57
15.3	51

Structural model:
```
10
Lattice="6.232 -3.304 0.000 6.232 3.304 0.000 -2.586 0.000 8.793" Properties=species:S:1:pos:R:3 pbc="T T T"
Sr 1.457 0.948 1.301
Sr 0.164 -0.948 5.697
Sr 9.713 0.948 3.096
Sr 8.420 -0.948 7.492
Bi 3.197 0.833 4.494
Bi 4.490 -0.833 0.098
Bi 5.387 0.833 8.695
Bi 6.681 -0.833 4.298
Pb 5.585 1.371 2.198
Pb 4.292 -1.371 6.595
```

(7)
Na6SbO5: simulated X-ray powder pattern (Cu Kα (λ = 1.5418 Å)), based on a DFT-relaxed cell (GGA-PBE, Alexandria).
Peak positions follow from Bragg's law for the DFT cell and can differ from measured ones.

Most intense lines, 2θ = 15–90°, most intense first:
two_theta	Rel. int.
19.3	100
38.4	69
23.1	32
35.4	31
30.1	29
16.1	28
47.1	26
16.4	25

Structural model:
```
24
Lattice="5.417 -2.869 0.000 5.417 2.869 0.000 0.000 0.000 10.980" Properties=species:S:1:pos:R:3 pbc="T T T"
Na 2.194 0.765 2.745
Na 5.417 1.742 6.125
Na 5.417 1.742 10.345
Na 2.981 0.000 0.000
Na 2.981 0.000 5.490
Na 2.194 -0.765 8.235
Na 8.639 0.765 2.745
Na 7.853 0.000 0.000
Na 7.853 0.000 5.490
Na 5.417 -1.742 0.635
Na 5.417 -1.742 4.855
Na 8.639 -0.765 8.235
Sb 5.417 1.264 2.745
Sb 5.417 -1.264 8.235
O 3.945 1.689 1.283
O 3.945 1.689 4.207
O 6.888 1.689 1.283
O 6.888 1.689 4.207
O 5.417 0.741 8.235
O 5.417 -0.741 2.745
O 3.945 -1.689 6.773
O 3.945 -1.689 9.697
O 6.888 -1.689 6.773
O 6.888 -1.689 9.697
```

(8)
Ca3NdS4: simulated X-ray powder pattern (Cu Kα (λ = 1.5418 Å)), based on a DFT-relaxed cell (GGA-PBE, Alexandria).
Peak positions follow from Bragg's law for the DFT cell and can differ from measured ones.

Most intense lines, 2θ = 15–90°, most intense first:
two_theta	Rel. int.
31.3	100
44.8	69
17.3	33
74.1	29
55.7	23
27.0	22
82.7	22
36.0	11

Structural model:
```
16
Lattice="5.717 0.000 0.000 0.000 5.717 0.000 0.000 0.000 11.446" Properties=species:S:1:pos:R:3 pbc="T T T"
Ca 0.000 0.000 0.000
Ca 0.000 2.859 2.862
Ca 0.000 2.859 8.585
Ca 2.859 0.000 2.862
Ca 2.859 0.000 8.585
Ca 2.859 2.859 5.723
Nd 0.000 0.000 5.723
Nd 2.859 2.859 0.000
S 0.000 0.000 2.845
S 0.000 0.000 8.601
S 0.000 2.859 0.000
S 0.000 2.859 5.723
S 2.859 0.000 0.000
S 2.859 0.000 5.723
S 2.859 2.859 2.878
S 2.859 2.859 8.568
```